# 1
PuCu6Ge4: simulated X-ray powder pattern (Cu Ka), based on a GGA-PBE-relaxed structure.

Top 10 peaks for 2θ = 10–90°, sorted by position:
2θ = 19.5°, intensity 32.7
2θ = 20.4°, intensity 29.5
2θ = 32.8°, intensity 82.5
2θ = 33.9°, intensity 47.9
2θ = 34.7°, intensity 100.0
2θ = 39.6°, intensity 57.2
2θ = 43.5°, intensity 58.6
2θ = 44.4°, intensity 30.3
2θ = 50.7°, intensity 35.7
2θ = 61.0°, intensity 27.3

Cell and atoms:
a = 6.293 Å, b = 6.293 Å, c = 6.293 Å
α = 118.51°, β = 118.51°, γ = 92.61°
Sites, in units of the cell vectors:
Pu1 0.000 0.000 0.000
Cu1 0.000 0.500 0.500
Cu2 0.252 0.252 0.699
Cu3 0.447 0.748 0.000
Cu4 0.500 0.000 0.500
Cu5 0.553 0.553 0.301
Cu6 0.748 0.447 0.000
Ge1 0.108 0.540 0.000
Ge2 0.460 0.460 0.568
Ge3 0.540 0.108 0.000
Ge4 0.892 0.892 0.432

---

# 2
AcNd2RhN4: simulated X-ray powder pattern (Cu Ka), based on a GGA-PBE-relaxed structure.

Top 10 peaks for 2θ = 10–90°, sorted by position:
2θ = 26.5°, intensity 43.9
2θ = 29.4°, intensity 41.2
2θ = 29.5°, intensity 100.0
2θ = 33.9°, intensity 24.3
2θ = 36.3°, intensity 57.8
2θ = 42.2°, intensity 18.9
2θ = 45.6°, intensity 14.5
2θ = 47.4°, intensity 17.1
2θ = 59.1°, intensity 19.7
2θ = 67.5°, intensity 16.0

Cell and atoms:
a = 6.345 Å, b = 6.345 Å, c = 12.096 Å
α = 90.00°, β = 90.00°, γ = 146.59°
Sites, in units of the cell vectors:
Ac1 0.114 0.886 0.750
Ac2 0.886 0.114 0.250
Nd1 0.369 0.631 0.546
Nd2 0.369 0.631 0.954
Nd3 0.631 0.369 0.046
Nd4 0.631 0.369 0.454
Rh1 0.152 0.848 0.250
Rh2 0.848 0.152 0.750
N1 0.000 0.000 0.000
N2 0.000 0.000 0.500
N3 0.272 0.728 0.129
N4 0.272 0.728 0.371
N5 0.423 0.577 0.750
N6 0.577 0.423 0.250
N7 0.728 0.272 0.629
N8 0.728 0.272 0.871

---

# 3
Fe2Ni4Pt3: simulated X-ray powder pattern (Cu Ka), based on a GGA-PBE-relaxed structure.

Top 10 peaks for 2θ = 10–90°, sorted by position:
2θ = 23.3°, intensity 20.7
2θ = 26.7°, intensity 19.2
2θ = 27.5°, intensity 37.3
2θ = 40.7°, intensity 100.0
2θ = 44.4°, intensity 80.1
2θ = 44.8°, intensity 75.0
2θ = 59.0°, intensity 32.4
2θ = 76.5°, intensity 14.8
2θ = 76.7°, intensity 15.4
2θ = 76.9°, intensity 14.9

Cell and atoms:
a = 4.132 Å, b = 4.132 Å, c = 7.717 Å
α = 97.36°, β = 97.36°, γ = 64.89°
Sites, in units of the cell vectors:
Fe1 0.166 0.166 0.280
Fe2 0.834 0.834 0.720
Ni1 0.168 0.168 0.601
Ni2 0.498 0.498 0.832
Ni3 0.502 0.502 0.168
Ni4 0.832 0.832 0.399
Pt1 0.167 0.167 0.930
Pt2 0.500 0.500 0.500
Pt3 0.833 0.833 0.070

---

# 4
Ba3TbHo3Se8: simulated X-ray powder pattern (Cu Ka), based on a GGA-PBE-relaxed structure.

Top 10 peaks for 2θ = 10–90°, sorted by position:
2θ = 11.8°, intensity 16.6
2θ = 25.7°, intensity 8.3
2θ = 29.2°, intensity 100.0
2θ = 40.5°, intensity 36.4
2θ = 43.0°, intensity 35.9
2θ = 52.9°, intensity 18.8
2θ = 60.5°, intensity 11.0
2θ = 66.7°, intensity 13.5
2θ = 70.5°, intensity 15.9
2θ = 77.1°, intensity 11.0

Cell and atoms:
a = 8.953 Å, b = 8.953 Å, c = 8.953 Å
α = 55.99°, β = 55.99°, γ = 55.99°
Sites, in units of the cell vectors:
Ba1 0.000 0.500 0.500
Ba2 0.500 0.000 0.500
Ba3 0.500 0.500 0.000
Tb1 0.500 0.500 0.500
Ho1 0.000 0.000 0.500
Ho2 0.000 0.500 0.000
Ho3 0.500 0.000 0.000
Se1 0.233 0.739 0.739
Se2 0.237 0.237 0.237
Se3 0.261 0.261 0.767
Se4 0.261 0.767 0.261
Se5 0.739 0.233 0.739
Se6 0.739 0.739 0.233
Se7 0.763 0.763 0.763
Se8 0.767 0.261 0.261

---

# 5
Hg3H2I2: simulated X-ray powder pattern (Cu Ka), based on a GGA-PBE-relaxed structure.

Top 10 peaks for 2θ = 10–90°, sorted by position:
2θ = 23.5°, intensity 22.5
2θ = 24.3°, intensity 67.9
2θ = 25.4°, intensity 23.6
2θ = 26.4°, intensity 100.0
2θ = 31.0°, intensity 46.7
2θ = 33.1°, intensity 53.8
2θ = 36.9°, intensity 27.5
2θ = 40.6°, intensity 25.0
2θ = 41.6°, intensity 45.6
2θ = 44.0°, intensity 27.9

Cell and atoms:
a = 3.851 Å, b = 4.455 Å, c = 11.143 Å
α = 91.69°, β = 93.62°, γ = 99.86°
Sites, in units of the cell vectors:
Hg1 0.000 0.000 0.000
Hg2 0.486 0.231 0.396
Hg3 0.514 0.769 0.604
H1 0.014 0.767 0.600
H2 0.986 0.233 0.400
I1 0.355 0.679 0.170
I2 0.645 0.321 0.830

---

Question: What is the formula in the first record?
Answer: PuCu6Ge4